Record 1
Structure and theoretical X-ray powder pattern of NaIn2I3 (a structure optimized by DFT (GGA-PBE); CuKα).
No peak broadening, texture or thermal motion is included.

Principal peaks in the range 10 to 90 degrees two-theta, by angle:
| 2θ/deg | I_rel |
| --- | --- |
| 25.82 | 53 |
| 25.99 | 100 |
| 36.59 | 18 |
| 36.96 | 78 |
| 37.58 | 19 |
| 45.33 | 20 |
| 46.16 | 21 |
| 60.02 | 18 |
| 60.29 | 16 |
| 66.15 | 16 |

Cell and atoms:
```
data_NaIn2I3
_chemical_formula_sum 'Na1 In2 I3'
_cell_length_a 8.480
_cell_length_b 8.480
_cell_length_c 8.480
_cell_angle_alpha 147.21
_cell_angle_beta 131.97
_cell_angle_gamma 59.37
_space_group_name_H-M_alt 'P 1'
_space_group_IT_number 1
loop_
_space_group_symop_operation_xyz
'x,y,z'
loop_
_atom_site_label
_atom_site_fract_x
_atom_site_fract_y
_atom_site_fract_z
_atom_site_occupancy
Na1 0.000 0.000 0.000 1
In1 0.332 0.332 0.000 1
In2 0.668 0.668 0.000 1
I1 0.151 0.651 0.500 1
I2 0.500 0.000 0.500 1
I3 0.849 0.349 0.500 1
```

Record 2
Structure and theoretical X-ray powder pattern of RbNa2InI6 (a structure optimized by DFT (GGA-PBE); CuKα).
No peak broadening, texture or thermal motion is included.

Principal peaks in the range 10 to 90 degrees two-theta, by angle:
| 2θ/deg | I_rel |
| --- | --- |
| 13.11 | 14 |
| 14.79 | 20 |
| 23.73 | 15 |
| 24.81 | 100 |
| 32.41 | 48 |
| 34.46 | 10 |
| 37.22 | 14 |
| 38.14 | 30 |
| 42.39 | 24 |
| 46.04 | 11 |

Cell and atoms:
```
data_RbNa2InI6
_chemical_formula_sum 'Rb1 Na2 In1 I6'
_cell_length_a 8.170
_cell_length_b 8.175
_cell_length_c 8.858
_cell_angle_alpha 90.03
_cell_angle_beta 117.44
_cell_angle_gamma 119.97
_space_group_name_H-M_alt 'P 1'
_space_group_IT_number 1
loop_
_space_group_symop_operation_xyz
'x,y,z'
loop_
_atom_site_label
_atom_site_fract_x
_atom_site_fract_y
_atom_site_fract_z
_atom_site_occupancy
Rb1 0.000 0.000 0.000 1
Na1 0.586 0.293 0.878 1
Na2 0.620 0.810 0.430 1
In1 0.961 0.481 0.442 1
I1 0.107 0.248 0.660 1
I2 0.107 0.451 0.197 1
I3 0.412 0.859 0.660 1
I4 0.541 0.091 0.197 1
I5 0.746 0.656 0.197 1
I6 0.801 0.553 0.660 1
```

Record 3
Structure and theoretical X-ray powder pattern of RbNaInI5 (a structure optimized by DFT (GGA-PBE); CuKα).
No peak broadening, texture or thermal motion is included.

Principal peaks in the range 10 to 90 degrees two-theta, by angle:
| 2θ/deg | I_rel |
| --- | --- |
| 19.03 | 27 |
| 20.30 | 38 |
| 22.78 | 55 |
| 23.99 | 100 |
| 24.92 | 36 |
| 25.26 | 39 |
| 30.17 | 32 |
| 32.68 | 43 |
| 38.41 | 26 |
| 38.61 | 33 |

Cell and atoms:
```
data_RbNaInI5
_chemical_formula_sum 'Rb2 Na2 In2 I10'
_cell_length_a 9.043
_cell_length_b 9.043
_cell_length_c 10.977
_cell_angle_alpha 105.16
_cell_angle_beta 105.16
_cell_angle_gamma 104.06
_space_group_name_H-M_alt 'P 1'
_space_group_IT_number 1
loop_
_space_group_symop_operation_xyz
'x,y,z'
loop_
_atom_site_label
_atom_site_fract_x
_atom_site_fract_y
_atom_site_fract_z
_atom_site_occupancy
Rb1 0.169 0.831 0.750 1
Rb2 0.831 0.169 0.250 1
Na1 0.500 0.500 0.000 1
Na2 0.500 0.500 0.500 1
In1 0.164 0.836 0.250 1
In2 0.836 0.164 0.750 1
I1 0.128 0.231 0.952 1
I2 0.158 0.609 0.379 1
I3 0.231 0.128 0.452 1
I4 0.391 0.842 0.121 1
I5 0.419 0.581 0.750 1
I6 0.581 0.419 0.250 1
I7 0.609 0.158 0.879 1
I8 0.769 0.872 0.548 1
I9 0.842 0.391 0.621 1
I10 0.872 0.769 0.048 1
```

Record 4
Structure and theoretical X-ray powder pattern of NaInSn2I8 (a structure optimized by DFT (GGA-PBE); CuKα).
No peak broadening, texture or thermal motion is included.

Principal peaks in the range 10 to 90 degrees two-theta, by angle:
| 2θ/deg | I_rel |
| --- | --- |
| 16.64 | 23 |
| 17.12 | 28 |
| 25.64 | 100 |
| 25.98 | 89 |
| 26.63 | 52 |
| 33.50 | 40 |
| 34.01 | 50 |
| 39.33 | 33 |
| 40.37 | 60 |
| 43.92 | 25 |

Cell and atoms:
```
data_NaInSn2I8
_chemical_formula_sum 'Na1 In1 Sn2 I8'
_cell_length_a 7.201
_cell_length_b 9.164
_cell_length_c 7.680
_cell_angle_alpha 90.00
_cell_angle_beta 91.63
_cell_angle_gamma 90.00
_space_group_name_H-M_alt 'P 1'
_space_group_IT_number 1
loop_
_space_group_symop_operation_xyz
'x,y,z'
loop_
_atom_site_label
_atom_site_fract_x
_atom_site_fract_y
_atom_site_fract_z
_atom_site_occupancy
Na1 0.000 0.000 0.000 1
In1 0.000 0.500 0.000 1
Sn1 0.500 0.252 0.500 1
Sn2 0.500 0.748 0.500 1
I1 0.233 0.500 0.679 1
I2 0.238 0.265 0.152 1
I3 0.238 0.735 0.152 1
I4 0.273 0.000 0.657 1
I5 0.727 0.000 0.343 1
I6 0.762 0.265 0.848 1
I7 0.762 0.735 0.848 1
I8 0.767 0.500 0.321 1
```

Record 5
Structure and theoretical X-ray powder pattern of Na2InSn2I7 (a structure optimized by DFT (GGA-PBE); CuKα).
No peak broadening, texture or thermal motion is included.

Principal peaks in the range 10 to 90 degrees two-theta, by angle:
| 2θ/deg | I_rel |
| --- | --- |
| 14.11 | 30 |
| 23.99 | 62 |
| 27.55 | 33 |
| 27.88 | 100 |
| 31.17 | 14 |
| 39.60 | 49 |
| 39.82 | 44 |
| 49.12 | 26 |
| 64.52 | 15 |
| 65.11 | 14 |

Cell and atoms:
```
data_Na2InSn2I7
_chemical_formula_sum 'Na2 In1 Sn2 I7'
_cell_length_a 13.602
_cell_length_b 13.602
_cell_length_c 13.602
_cell_angle_alpha 152.82
_cell_angle_beta 39.08
_cell_angle_gamma 152.46
_space_group_name_H-M_alt 'P 1'
_space_group_IT_number 1
loop_
_space_group_symop_operation_xyz
'x,y,z'
loop_
_atom_site_label
_atom_site_fract_x
_atom_site_fract_y
_atom_site_fract_z
_atom_site_occupancy
Na1 0.248 0.000 0.248 1
Na2 0.752 0.000 0.752 1
In1 0.242 0.742 0.500 1
Sn1 0.401 0.525 0.877 1
Sn2 0.648 0.525 0.123 1
I1 0.107 0.984 0.123 1
I2 0.254 0.501 0.753 1
I3 0.373 0.993 0.380 1
I4 0.465 0.465 0.000 1
I5 0.613 0.993 0.620 1
I6 0.748 0.501 0.247 1
I7 0.861 0.984 0.877 1
```

Record 6
Structure and theoretical X-ray powder pattern of Nb4InI7 (a structure optimized by DFT (GGA-PBE); CuKα).
No peak broadening, texture or thermal motion is included.

Principal peaks in the range 10 to 90 degrees two-theta, by angle:
| 2θ/deg | I_rel |
| --- | --- |
| 12.16 | 69 |
| 18.64 | 67 |
| 23.02 | 57 |
| 26.70 | 100 |
| 27.08 | 63 |
| 27.64 | 42 |
| 30.17 | 60 |
| 36.03 | 49 |
| 39.48 | 59 |
| 42.15 | 54 |

Cell and atoms:
```
data_Nb4InI7
_chemical_formula_sum 'Nb8 In2 I14'
_cell_length_a 4.565
_cell_length_b 21.754
_cell_length_c 9.791
_cell_angle_alpha 90.00
_cell_angle_beta 90.00
_cell_angle_gamma 90.00
_space_group_name_H-M_alt 'P 1'
_space_group_IT_number 1
loop_
_space_group_symop_operation_xyz
'x,y,z'
loop_
_atom_site_label
_atom_site_fract_x
_atom_site_fract_y
_atom_site_fract_z
_atom_site_occupancy
Nb1 0.250 0.018 0.151 1
Nb2 0.250 0.482 0.151 1
Nb3 0.250 0.569 0.960 1
Nb4 0.250 0.931 0.960 1
Nb5 0.750 0.069 0.040 1
Nb6 0.750 0.431 0.040 1
Nb7 0.750 0.518 0.849 1
Nb8 0.750 0.982 0.849 1
In1 0.250 0.250 0.675 1
In2 0.750 0.750 0.325 1
I1 0.250 0.149 0.101 1
I2 0.250 0.351 0.101 1
I3 0.250 0.545 0.670 1
I4 0.250 0.606 0.235 1
I5 0.250 0.750 0.542 1
I6 0.250 0.894 0.235 1
I7 0.250 0.955 0.670 1
I8 0.750 0.045 0.330 1
I9 0.750 0.106 0.765 1
I10 0.750 0.250 0.458 1
I11 0.750 0.394 0.765 1
I12 0.750 0.455 0.330 1
I13 0.750 0.649 0.899 1
I14 0.750 0.851 0.899 1
```

Record 7
Structure and theoretical X-ray powder pattern of Nd4InI (a structure optimized by DFT (GGA-PBE); CuKα).
No peak broadening, texture or thermal motion is included.

Principal peaks in the range 10 to 90 degrees two-theta, by angle:
| 2θ/deg | I_rel |
| --- | --- |
| 22.75 | 36 |
| 27.38 | 100 |
| 27.92 | 35 |
| 29.01 | 37 |
| 32.26 | 52 |
| 32.70 | 41 |
| 33.17 | 78 |
| 33.26 | 37 |
| 34.76 | 65 |
| 36.08 | 40 |

Cell and atoms:
```
data_Nd4InI
_chemical_formula_sum 'Nd8 In2 I2'
_cell_length_a 6.703
_cell_length_b 7.598
_cell_length_c 9.311
_cell_angle_alpha 71.36
_cell_angle_beta 70.29
_cell_angle_gamma 78.64
_space_group_name_H-M_alt 'P 1'
_space_group_IT_number 1
loop_
_space_group_symop_operation_xyz
'x,y,z'
loop_
_atom_site_label
_atom_site_fract_x
_atom_site_fract_y
_atom_site_fract_z
_atom_site_occupancy
Nd1 0.068 0.096 0.268 1
Nd2 0.239 0.650 0.170 1
Nd3 0.320 0.593 0.635 1
Nd4 0.423 0.030 0.690 1
Nd5 0.577 0.970 0.310 1
Nd6 0.680 0.407 0.365 1
Nd7 0.761 0.350 0.830 1
Nd8 0.932 0.904 0.732 1
In1 0.140 0.308 0.491 1
In2 0.860 0.692 0.509 1
I1 0.000 0.500 0.000 1
I2 0.500 0.000 0.000 1
```

Record 8
Structure and theoretical X-ray powder pattern of In2IO6 (a structure optimized by DFT (GGA-PBE); CuKα).
No peak broadening, texture or thermal motion is included.

Principal peaks in the range 10 to 90 degrees two-theta, by angle:
| 2θ/deg | I_rel |
| --- | --- |
| 19.84 | 100 |
| 30.39 | 59 |
| 31.18 | 51 |
| 31.99 | 27 |
| 33.78 | 39 |
| 34.84 | 17 |
| 48.78 | 23 |
| 49.85 | 22 |
| 53.72 | 17 |
| 58.17 | 16 |

Cell and atoms:
```
data_In2IO6
_chemical_formula_sum 'In4 I2 O12'
_cell_length_a 5.154
_cell_length_b 9.042
_cell_length_c 5.600
_cell_angle_alpha 90.00
_cell_angle_beta 92.46
_cell_angle_gamma 90.00
_space_group_name_H-M_alt 'P 1'
_space_group_IT_number 1
loop_
_space_group_symop_operation_xyz
'x,y,z'
loop_
_atom_site_label
_atom_site_fract_x
_atom_site_fract_y
_atom_site_fract_z
_atom_site_occupancy
In1 0.000 0.191 0.000 1
In2 0.000 0.809 0.000 1
In3 0.500 0.305 0.500 1
In4 0.500 0.695 0.500 1
I1 0.000 0.000 0.500 1
I2 0.500 0.500 0.000 1
O1 0.194 0.000 0.828 1
O2 0.214 0.171 0.340 1
O3 0.214 0.829 0.340 1
O4 0.284 0.349 0.850 1
O5 0.284 0.651 0.850 1
O6 0.317 0.500 0.291 1
O7 0.683 0.500 0.709 1
O8 0.716 0.349 0.150 1
O9 0.716 0.651 0.150 1
O10 0.786 0.171 0.660 1
O11 0.786 0.829 0.660 1
O12 0.806 0.000 0.172 1
```

Record 9
Structure and theoretical X-ray powder pattern of InPIO4 (a structure optimized by DFT (GGA-PBE); CuKα).
No peak broadening, texture or thermal motion is included.

Principal peaks in the range 10 to 90 degrees two-theta, by angle:
| 2θ/deg | I_rel |
| --- | --- |
| 27.73 | 67 |
| 28.06 | 100 |
| 29.69 | 31 |
| 34.14 | 31 |
| 35.36 | 25 |
| 37.36 | 33 |
| 41.08 | 24 |
| 41.97 | 19 |
| 49.26 | 21 |
| 57.45 | 19 |

Cell and atoms:
```
data_InPIO4
_chemical_formula_sum 'In2 P2 I2 O8'
_cell_length_a 6.461
_cell_length_b 6.461
_cell_length_c 6.145
_cell_angle_alpha 100.10
_cell_angle_beta 100.10
_cell_angle_gamma 59.72
_space_group_name_H-M_alt 'P 1'
_space_group_IT_number 1
loop_
_space_group_symop_operation_xyz
'x,y,z'
loop_
_atom_site_label
_atom_site_fract_x
_atom_site_fract_y
_atom_site_fract_z
_atom_site_occupancy
In1 0.199 0.199 0.338 1
In2 0.801 0.801 0.662 1
P1 0.139 0.139 0.770 1
P2 0.861 0.861 0.230 1
I1 0.483 0.483 0.757 1
I2 0.517 0.517 0.243 1
O1 0.002 0.002 0.756 1
O2 0.006 0.630 0.364 1
O3 0.212 0.212 0.010 1
O4 0.370 0.994 0.636 1
O5 0.630 0.006 0.364 1
O6 0.788 0.788 0.990 1
O7 0.994 0.370 0.636 1
O8 0.998 0.998 0.244 1
```

Record 10
Structure and theoretical X-ray powder pattern of PaInIO4 (a structure optimized by DFT (GGA-PBE); CuKα).
No peak broadening, texture or thermal motion is included.

Principal peaks in the range 10 to 90 degrees two-theta, by angle:
| 2θ/deg | I_rel |
| --- | --- |
| 16.18 | 34 |
| 21.46 | 32 |
| 25.28 | 100 |
| 25.67 | 30 |
| 25.83 | 34 |
| 28.27 | 61 |
| 28.65 | 29 |
| 30.99 | 40 |
| 31.97 | 40 |
| 40.53 | 28 |

Cell and atoms:
```
data_PaInIO4
_chemical_formula_sum 'Pa2 In2 I2 O8'
_cell_length_a 7.332
_cell_length_b 7.332
_cell_length_c 7.167
_cell_angle_alpha 104.17
_cell_angle_beta 104.17
_cell_angle_gamma 51.00
_space_group_name_H-M_alt 'P 1'
_space_group_IT_number 1
loop_
_space_group_symop_operation_xyz
'x,y,z'
loop_
_atom_site_label
_atom_site_fract_x
_atom_site_fract_y
_atom_site_fract_z
_atom_site_occupancy
Pa1 0.200 0.200 0.348 1
Pa2 0.800 0.800 0.652 1
In1 0.120 0.120 0.759 1
In2 0.880 0.880 0.241 1
I1 0.467 0.467 0.805 1
I2 0.533 0.533 0.195 1
O1 0.038 0.581 0.383 1
O2 0.041 0.041 0.316 1
O3 0.177 0.177 0.054 1
O4 0.419 0.962 0.617 1
O5 0.581 0.038 0.383 1
O6 0.823 0.823 0.946 1
O7 0.959 0.959 0.684 1
O8 0.962 0.419 0.617 1
```